# Rb6ReN4
Theoretical X-ray diffraction stick pattern, λ = 1.5418 Å (Cu Kα). Input: the GGA-PBE geometry in the Materials Project.
Peak positions follow from Bragg's law for the DFT cell and can differ from measured ones.

Most intense lines, 2θ = 10–80°, low angle first:
hkl 1 0 1, 2θ = 15.52°, I 41; hkl 2 1 1, 2θ = 25.55°, I 94; hkl 1 1 2, 2θ = 27.76°, I 83; hkl 2 2 0, 2θ = 28.68°, I 100; hkl 2 0 2, 2θ = 31.33°, I 41; hkl 3 0 1, 2θ = 32.77°, I 65; hkl 3 1 2, 2θ = 40.34°, I 42; hkl 4 0 0, 2θ = 41.01°, I 36

Cell and atoms:
```
data_Rb6ReN4
_chemical_formula_sum 'Rb12 Re2 N8'
_space_group_name_H-M_alt 'P 1'
_space_group_IT_number 1
_space_group_name_Hall 'P 1'
_cell_length_a 8.803
_cell_length_b 8.803
_cell_length_c 7.504
_cell_angle_alpha 90.00
_cell_angle_beta 90.00
_cell_angle_gamma 90.00
loop_
_atom_site_label
_atom_site_fract_x
_atom_site_fract_y
_atom_site_fract_z
Rb1 0.037 0.537 0.250
Rb2 0.037 0.963 0.250
Rb3 0.250 0.250 0.001
Rb4 0.250 0.250 0.501
Rb5 0.463 0.537 0.250
Rb6 0.463 0.963 0.250
Rb7 0.537 0.037 0.750
Rb8 0.537 0.463 0.750
Rb9 0.750 0.750 0.499
Rb10 0.750 0.750 0.999
Rb11 0.963 0.037 0.750
Rb12 0.963 0.463 0.750
Re1 0.250 0.750 0.750
Re2 0.750 0.250 0.250
N1 0.074 0.750 0.611
N2 0.250 0.574 0.889
N3 0.250 0.926 0.889
N4 0.426 0.750 0.611
N5 0.574 0.250 0.389
N6 0.750 0.074 0.111
N7 0.750 0.426 0.111
N8 0.926 0.250 0.389
```